No. 1
Simulated powder X-ray diffraction pattern of Ce4Sb2H3 for Cu Ka, from the GGA-PBE geometry in Alexandria.
Intensities are scaled so that the largest is 100.

The 8 most intense peaks (2θ = 5–70°), in order of rising 2θ:
hkl	2theta	I (rel.)
0 2 2	24.9	61
0 4 1	26.0	75
2 2 0	31.1	62
2 2 1	33.0	71
1 5 1	34.7	100
0 2 3	35.3	78
2 0 2	36.4	76
2 4 3	50.8	57

Crystal structure
a b c (Å): 6.2227 15.1642 8.0924
angles (deg): 90.00 90.00 90.00
Space group Cmce (No. 64)
Asymmetric unit:
Ce (0.0000, 0.1977, 0.0855) x8
Ce (0.2500, 0.0462, 0.7500) x8
Sb (0.0000, 0.1151, 0.4310) x8
H (0.0000, 0.0000, 0.0000) x4
H (0.2500, 0.2105, 0.7500) x8

No. 2
Simulated powder X-ray diffraction pattern of PrSm3Bi2 for Cu Ka, from the GGA-PBE geometry in Alexandria.
Intensities are scaled so that the largest is 100.

The 8 most intense peaks (2θ = 5–70°), in order of rising 2θ:
hkl	2theta	I (rel.)
1 1 0	27.2	27
1 1 1	29.0	83
0 0 3	29.9	41
1 1 2	33.9	100
1 0 3	35.8	30
2 0 0	38.8	62
2 0 3	49.8	40
3 1 2	67.2	28

Crystal structure
a b c (Å): 4.6382 4.6382 8.9530
angles (deg): 90.00 90.00 90.00
Space group P-4m2 (No. 115)
Asymmetric unit:
Pr (0.0000, 0.0000, 0.0000) x1
Sm (0.0000, 0.5000, 0.3528) x2
Sm (0.5000, 0.5000, 0.0000) x1
Bi (0.0000, 0.5000, 0.7161) x2

No. 3
Simulated powder X-ray diffraction pattern of NdHo3In4 for Cu Ka, from the GGA-PBE geometry in Alexandria.
Intensities are scaled so that the largest is 100.

The 8 most intense peaks (2θ = 5–70°), in order of rising 2θ:
hkl	2theta	I (rel.)
0 0 2	32.5	19
4 0 0	33.2	30
1 0 2	33.6	10
2 2 1	33.9	100
4 0 2	47.1	13
0 4 0	50.4	9
6 2 1	59.8	19
4 4 0	61.6	10

Crystal structure
a b c (Å): 10.7970 7.2483 5.5106
angles (deg): 90.00 90.00 90.00
Space group Pmma (No. 51)
Asymmetric unit:
Nd (0.0000, 0.0000, 0.0000) x2
Ho (0.0000, 0.5000, 0.0000) x2
Ho (0.2500, 0.0000, 0.4319) x2
Ho (0.2500, 0.5000, 0.4209) x2
In (0.0000, 0.2582, 0.5000) x4
In (0.2500, 0.2578, 0.9158) x4

No. 4
Simulated powder X-ray diffraction pattern of CsDyCuO3 for Cu Ka, from the GGA-PBE geometry in Alexandria.
Intensities are scaled so that the largest is 100.

The 8 most intense peaks (2θ = 5–70°), in order of rising 2θ:
hkl	2theta	I (rel.)
0 0 1	10.6	64
1 0 -1	12.7	70
2 0 -2	25.6	93
0 1 1	26.7	56
2 0 1	29.8	35
0 1 2	32.6	57
2 1 -1	33.3	100
2 1 0	34.5	50

Crystal structure
a b c (Å): 7.9693 3.6494 8.9768
angles (deg): 90.00 111.79 90.00
Space group P2_1/m (No. 11)
Asymmetric unit:
Cs (0.2140, 0.2500, 0.2126) x2
Dy (0.3319, 0.7500, 0.8632) x2
Cu (0.0517, 0.2500, 0.6272) x2
O (0.1222, 0.7500, 0.5960) x2
O (0.1449, 0.2500, 0.8592) x2
O (0.4804, 0.7500, 0.1272) x2

No. 5
Simulated powder X-ray diffraction pattern of Ce4SbRh2 for Cu Ka, from the GGA-PBE geometry in Alexandria.
Intensities are scaled so that the largest is 100.

The 8 most intense peaks (2θ = 5–70°), in order of rising 2θ:
hkl	2theta	I (rel.)
2 4 0	30.6	47
4 2 0	30.7	45
3 3 1	31.0	100
1 1 3	33.4	77
1 5 1	36.6	36
5 1 1	36.8	37
2 4 2	37.5	30
4 2 2	37.6	29

Crystal structure
a b c (Å): 12.9992 13.1064 8.4052
angles (deg): 90.00 90.00 90.00
Space group Fdd2 (No. 43)
Asymmetric unit:
Ce (0.0509, 0.3736, 0.0000) x16
Ce (0.1240, 0.3022, 0.4070) x16
Sb (0.0000, 0.0000, 0.8283) x8
Rh (0.0604, 0.3100, 0.7036) x16

No. 6
Simulated powder X-ray diffraction pattern of MnHg2Rh for Cu Ka, from the GGA-PBE geometry in Alexandria.
Intensities are scaled so that the largest is 100.

The 8 most intense peaks (2θ = 5–70°), in order of rising 2θ:
hkl	2theta	I (rel.)
1 0 0	29.3	30
1 0 -1	29.6	38
0 1 1	31.0	45
0 0 3	34.3	37
0 1 2	36.9	100
1 0 2	40.5	44
1 0 -3	41.5	81
1 1 -1	41.7	29

Crystal structure
a b c (Å): 3.0923 3.1038 7.9594
angles (deg): 90.00 99.97 90.00
Space group Pm (No. 6)
Asymmetric unit:
Mn (0.0000, 0.0000, 0.0000) x1
Hg (0.1864, 0.0000, 0.4211) x1
Hg (0.3909, 0.5000, 0.7547) x1
Rh (0.5804, 0.5000, 0.1776) x1